The following is a computed X-ray diffraction stick pattern of NiCl2F. It was derived from a crystal structure in Alexandria, relaxed with PBE+U, using copper Kα.

Structure:
a = 3.5420 Å, b = 3.5420 Å, c = 21.7741 Å
α = 90.00°, β = 90.00°, γ = 120.00°
Space group R-3m (No. 166, hexagonal axes)
Asymmetric unit:
Ni  0.0000  0.0000  0.0000 (multiplicity 3)
Cl  0.0000  0.0000  0.3935 (multiplicity 6)
F  0.0000  0.0000  0.5000 (multiplicity 3)

Top 10 peaks for 2θ = 10–90°, sorted by position:
| 2θ (°) | d_spacing | I (rel.) | (hkl) |
| --- | --- | --- | --- |
| 12.19 | 7.258 | 100 | 0 0 3 |
| 30.27 | 2.952 | 60 | 0 1 2 |
| 35.81 | 2.508 | 48 | 0 1 5 |
| 44.50 | 2.036 | 30 | 0 1 8 |
| 51.47 | 1.776 | 25 | 1 0 10 |
| 51.61 | 1.771 | 27 | 1 1 0 |
| 53.24 | 1.721 | 12 | 1 1 3 |
| 64.40 | 1.447 | 8 | 2 0 5 |
| 75.88 | 1.254 | 7 | 0 2 10 |
| 86.96 | 1.120 | 7 | 1 2 5 |